For PmPu3I8, a PBE-relaxed structure gives the calculated powder diffraction line list in this record (Cu Kα (λ = 1.5418 Å)).
Intensities are scaled so that the largest is 100.

Cell and atoms:
Lattice parameters (Å, degrees): 8.646 8.646 9.364 117.80 117.80 59.99
Fractional positions:
Pm  0.000  0.000  0.000
Pu  0.000  0.500  0.000
Pu  0.500  0.000  0.000
Pu  0.500  0.500  0.000
I  0.248  0.750  0.752
I  0.250  0.250  0.248
I  0.250  0.250  0.754
I  0.250  0.752  0.248
I  0.750  0.248  0.752
I  0.750  0.750  0.246
I  0.750  0.750  0.752
I  0.752  0.250  0.248

Top 10 peaks for 2θ from 10° to 90°, by angle:
- 11.2 deg, rel. 88
- 24.1 deg, rel. 45
- 28.2 deg, rel. 100
- 28.3 deg, rel. 49
- 30.5 deg, rel. 17
- 38.7 deg, rel. 21
- 38.9 deg, rel. 42
- 41.8 deg, rel. 52
- 51.2 deg, rel. 19
- 68.1 deg, rel. 25

---

For PmPuI5, a PBE-relaxed structure gives the calculated powder diffraction line list in this record (Cu Kα (λ = 1.5418 Å)).
Intensities are scaled so that the largest is 100.

Cell and atoms:
Lattice parameters (Å, degrees): 9.237 4.322 15.155 90.00 95.17 90.00
Fractional positions:
Pm  0.083  0.250  0.156
Pm  0.917  0.750  0.844
Pu  0.407  0.750  0.360
Pu  0.593  0.250  0.640
I  0.139  0.250  0.794
I  0.147  0.250  0.367
I  0.183  0.750  0.019
I  0.351  0.750  0.569
I  0.428  0.250  0.198
I  0.572  0.750  0.802
I  0.649  0.250  0.431
I  0.817  0.250  0.981
I  0.853  0.750  0.633
I  0.861  0.750  0.206

Top 10 peaks for 2θ from 10° to 90°, by angle:
- 10.8 deg, rel. 100
- 26.1 deg, rel. 45
- 28.3 deg, rel. 66
- 28.6 deg, rel. 21
- 29.6 deg, rel. 20
- 30.1 deg, rel. 22
- 30.3 deg, rel. 25
- 36.9 deg, rel. 24
- 38.3 deg, rel. 32
- 41.8 deg, rel. 29